Structure and simulated X-ray powder pattern of Na4CO4 (a GGA-PBE-relaxed structure; λ = 1.5418 Å (Cu Kα)).

Crystal structure
Lattice parameters (Å, degrees): 4.865 4.865 4.865 91.58 91.58 91.58
Sites, in units of the cell vectors:
Na1 0.000 0.000 0.000
Na2 0.332 0.792 0.349
Na3 0.349 0.332 0.792
Na4 0.792 0.349 0.332
C1 0.713 0.713 0.713
O1 0.282 0.282 0.282
O2 0.497 0.820 0.825
O3 0.820 0.825 0.497
O4 0.825 0.497 0.820

Largest 10 diffraction maxima, sorted by position, 2θ = 10–80°:
Position (°2θ), Rel. int.
25.55, 33.3
26.29, 26.0
31.58, 42.2
36.99, 100.0
41.05, 76.4
42.03, 59.8
45.49, 24.6
46.85, 38.5
52.49, 43.7
56.82, 36.2


Structure and simulated X-ray powder pattern of Na4CO4 (a GGA-PBE-relaxed structure; λ = 1.5418 Å (Cu Kα)).

Crystal structure
Lattice parameters (Å, degrees): 4.739 4.739 4.739 90.00 90.00 90.00
Sites, in units of the cell vectors:
Na1 0.219 0.219 0.781
Na2 0.219 0.781 0.219
Na3 0.781 0.219 0.219
Na4 0.781 0.781 0.781
C1 0.500 0.500 0.500
O1 0.323 0.323 0.323
O2 0.323 0.677 0.677
O3 0.677 0.323 0.677
O4 0.677 0.677 0.323

Largest 10 diffraction maxima, sorted by position, 2θ = 10–80°:
Position (°2θ), Rel. int.
18.73, 29.2
26.60, 31.0
32.73, 30.5
37.98, 100.0
46.97, 80.9
54.79, 57.0
61.92, 3.9
65.31, 23.3
68.61, 10.2
75.00, 14.4


Structure and simulated X-ray powder pattern of Na3CO5 (a GGA-PBE-relaxed structure; λ = 1.5418 Å (Cu Kα)).

Crystal structure
Lattice parameters (Å, degrees): 5.688 5.724 7.267 85.29 89.06 86.76
Sites, in units of the cell vectors:
Na1 0.000 0.000 0.000
Na2 0.241 0.692 0.573
Na3 0.740 0.207 0.558
C1 0.230 0.193 0.710
O1 0.020 0.282 0.754
O2 0.065 0.856 0.301
O3 0.289 0.975 0.764
O4 0.374 0.322 0.614
O5 0.891 0.030 0.303

Largest 10 diffraction maxima, sorted by position, 2θ = 10–80°:
Position (°2θ), Rel. int.
12.22, 75.1
15.58, 100.0
19.02, 29.3
19.75, 29.2
21.48, 28.3
24.04, 17.2
25.51, 10.1
32.85, 10.9
34.03, 12.5
44.73, 10.3


Structure and simulated X-ray powder pattern of Na3C2O6 (a GGA-PBE-relaxed structure; λ = 1.5418 Å (Cu Kα)).

Crystal structure
Lattice parameters (Å, degrees): 10.379 10.379 9.679 101.40 101.40 20.57
Sites, in units of the cell vectors:
Na1 0.023 0.682 0.071
Na2 0.236 0.764 0.750
Na3 0.318 0.977 0.429
Na4 0.682 0.023 0.571
Na5 0.764 0.236 0.250
Na6 0.977 0.318 0.929
C1 0.169 0.635 0.399
C2 0.365 0.831 0.101
C3 0.635 0.169 0.899
C4 0.831 0.365 0.601
O1 0.090 0.792 0.512
O2 0.201 0.483 0.412
O3 0.202 0.640 0.280
O4 0.208 0.910 0.988
O5 0.360 0.798 0.220
O6 0.483 0.201 0.912
O7 0.517 0.799 0.088
O8 0.640 0.202 0.780
O9 0.792 0.090 0.012
O10 0.798 0.360 0.720
O11 0.799 0.517 0.588
O12 0.910 0.208 0.488

Largest 10 diffraction maxima, sorted by position, 2θ = 10–80°:
Position (°2θ), Rel. int.
17.73, 87.6
22.31, 25.8
26.53, 26.6
28.23, 100.0
28.42, 24.1
31.51, 27.6
33.01, 81.8
45.41, 23.2
45.53, 26.7
53.41, 24.3


Structure and simulated X-ray powder pattern of NaC2O2 (a GGA-PBE-relaxed structure; λ = 1.5418 Å (Cu Kα)).

Crystal structure
Lattice parameters (Å, degrees): 3.562 6.906 10.471 90.00 92.14 90.00
Sites, in units of the cell vectors:
Na1 0.206 0.058 0.349
Na2 0.206 0.442 0.849
Na3 0.794 0.558 0.151
Na4 0.794 0.942 0.651
C1 0.393 0.641 0.501
C2 0.393 0.859 0.001
C3 0.402 0.017 0.905
C4 0.402 0.483 0.405
C5 0.598 0.517 0.595
C6 0.598 0.983 0.095
C7 0.607 0.141 0.999
C8 0.607 0.359 0.499
O1 0.269 0.688 0.006
O2 0.269 0.812 0.506
O3 0.287 0.045 0.791
O4 0.287 0.455 0.291
O5 0.713 0.545 0.709
O6 0.713 0.955 0.209
O7 0.731 0.188 0.494
O8 0.731 0.312 0.994

Largest 10 diffraction maxima, sorted by position, 2θ = 10–80°:
Position (°2θ), Rel. int.
21.31, 29.6
25.80, 46.1
29.21, 26.4
29.82, 100.0
31.03, 52.3
32.58, 39.3
33.58, 39.4
39.84, 24.9
40.69, 26.9
47.01, 25.8


Structure and simulated X-ray powder pattern of Na2CO6 (a GGA-PBE-relaxed structure; λ = 1.5418 Å (Cu Kα)).

Crystal structure
Lattice parameters (Å, degrees): 8.739 8.739 9.463 90.40 90.40 133.26
Sites, in units of the cell vectors:
Na1 0.000 0.000 0.000
Na2 0.000 0.000 0.500
Na3 0.242 0.741 0.247
Na4 0.243 0.743 0.741
Na5 0.494 0.500 0.001
Na6 0.500 0.494 0.501
Na7 0.741 0.242 0.747
Na8 0.743 0.243 0.241
C1 0.158 0.337 0.749
C2 0.337 0.158 0.249
C3 0.660 0.835 0.749
C4 0.835 0.660 0.249
O1 0.034 0.277 0.155
O2 0.055 0.497 0.456
O3 0.080 0.409 0.800
O4 0.175 0.333 0.614
O5 0.190 0.458 0.108
O6 0.219 0.271 0.832
O7 0.271 0.219 0.332
O8 0.277 0.034 0.655
O9 0.333 0.175 0.114
O10 0.409 0.080 0.300
O11 0.426 0.888 0.015
O12 0.458 0.190 0.608
O13 0.497 0.055 0.956
O14 0.544 0.786 0.345
O15 0.580 0.905 0.694
O16 0.670 0.827 0.884
O17 0.694 0.970 0.392
O18 0.728 0.775 0.667
O19 0.775 0.728 0.167
O20 0.786 0.544 0.845
O21 0.827 0.670 0.384
O22 0.888 0.426 0.515
O23 0.905 0.580 0.194
O24 0.970 0.694 0.892

Largest 10 diffraction maxima, sorted by position, 2θ = 10–80°:
Position (°2θ), Rel. int.
14.48, 19.7
21.81, 24.4
25.70, 24.4
31.87, 23.2
33.69, 42.1
34.20, 100.0
36.10, 24.4
44.46, 29.6
46.84, 24.4
52.79, 19.3


Structure and simulated X-ray powder pattern of Na3C2O8 (a GGA-PBE-relaxed structure; λ = 1.5418 Å (Cu Kα)).

Crystal structure
Lattice parameters (Å, degrees): 11.574 11.574 9.512 105.33 105.33 18.38
Sites, in units of the cell vectors:
Na1 0.011 0.689 0.072
Na2 0.202 0.798 0.750
Na3 0.311 0.989 0.428
Na4 0.689 0.011 0.572
Na5 0.798 0.202 0.250
Na6 0.989 0.311 0.928
C1 0.202 0.607 0.392
C2 0.393 0.798 0.108
C3 0.607 0.202 0.892
C4 0.798 0.393 0.608
O1 0.078 0.790 0.511
O2 0.121 0.402 0.551
O3 0.210 0.922 0.989
O4 0.233 0.620 0.280
O5 0.282 0.421 0.385
O6 0.380 0.767 0.220
O7 0.402 0.121 0.051
O8 0.421 0.282 0.885
O9 0.579 0.718 0.115
O10 0.598 0.879 0.949
O11 0.620 0.233 0.780
O12 0.718 0.579 0.615
O13 0.767 0.380 0.720
O14 0.790 0.078 0.011
O15 0.879 0.598 0.449
O16 0.922 0.210 0.489

Largest 10 diffraction maxima, sorted by position, 2θ = 10–80°:
Position (°2θ), Rel. int.
16.10, 22.0
19.37, 16.9
22.93, 33.6
26.72, 30.0
27.59, 24.1
31.42, 100.0
32.04, 16.1
40.22, 15.2
40.43, 16.8
42.96, 20.6


Structure and simulated X-ray powder pattern of NaCO2 (a GGA-PBE-relaxed structure; λ = 1.5418 Å (Cu Kα)).

Crystal structure
Lattice parameters (Å, degrees): 4.671 4.671 6.320 106.61 106.61 95.43
Sites, in units of the cell vectors:
Na1 0.144 0.856 0.750
Na2 0.856 0.144 0.250
C1 0.270 0.730 0.250
C2 0.730 0.270 0.750
O1 0.054 0.665 0.319
O2 0.335 0.946 0.181
O3 0.665 0.054 0.819
O4 0.946 0.335 0.681

Largest 10 diffraction maxima, sorted by position, 2θ = 10–80°:
Position (°2θ), Rel. int.
20.21, 77.3
25.78, 89.2
29.42, 29.3
31.26, 100.0
31.44, 22.8
38.80, 45.0
40.95, 24.8
42.33, 30.0
45.45, 28.0
52.20, 24.2


Structure and simulated X-ray powder pattern of NaPrPCO7 (a GGA-PBE-relaxed structure; λ = 1.5418 Å (Cu Kα)).

Crystal structure
Lattice parameters (Å, degrees): 5.364 7.209 9.796 90.00 90.76 90.00
Sites, in units of the cell vectors:
Na1 0.230 0.000 0.271
Na2 0.770 0.500 0.729
Pr1 0.220 0.189 0.872
Pr2 0.780 0.689 0.128
P1 0.283 0.697 0.916
P2 0.717 0.197 0.084
C1 0.277 0.243 0.569
C2 0.723 0.743 0.431
O1 0.054 0.251 0.618
O2 0.157 0.523 0.854
O3 0.205 0.718 0.070
O4 0.212 0.874 0.837
O5 0.309 0.209 0.444
O6 0.428 0.168 0.080
O7 0.461 0.264 0.654
O8 0.539 0.764 0.346
O9 0.572 0.668 0.920
O10 0.691 0.709 0.556
O11 0.788 0.374 0.163
O12 0.795 0.218 0.930
O13 0.843 0.023 0.146
O14 0.946 0.751 0.382

Largest 10 diffraction maxima, sorted by position, 2θ = 10–80°:
Position (°2θ), Rel. int.
15.26, 71.6
18.76, 26.0
18.97, 44.5
20.64, 72.9
24.45, 50.5
24.73, 100.0
26.35, 27.7
31.33, 20.5
33.41, 25.8
34.66, 25.0